Entry 1:
Diffraction record for Cs11Ag2Au. The X-ray powder pattern is calculated, not measured: it uses a cell relaxed with PBE and Cu Kα.

Crystal structure
a = 14.192 Å, b = 18.428 Å, c = 19.049 Å
α = 90.00°, β = 90.00°, γ = 90.00°
Space group Ibam (No. 72)
Inequivalent atoms, fractional coordinates:
Cs 0.000 0.000 0.000 x4
Cs 0.113 0.298 0.159 x16
Cs 0.126 0.219 0.500 x8
Cs 0.193 0.450 0.372 x16
Ag 0.149 0.171 0.000 x8
Au 0.000 0.500 0.250 x4

Principal peaks in the range 2θ from 5° to 70°, in order of falling intensity:
- (1 1 2), 2θ = 12.18°, rel. 100.0
- (4 2 0), 2θ = 26.96°, rel. 80.1
- (2 2 4), 2θ = 24.49°, rel. 60.3
- (2 3 3), 2θ = 23.74°, rel. 53.6
- (1 4 3), 2θ = 24.69°, rel. 42.4
- (2 1 3), 2θ = 19.37°, rel. 42.3
- (3 3 2), 2θ = 25.54°, rel. 41.3
- (1 5 2), 2θ = 26.69°, rel. 37.5
- (1 1 0), 2θ = 7.86°, rel. 35.1
- (0 2 6), 2θ = 29.77°, rel. 27.8

---

Entry 2:
Diffraction record for Cs8Ag2Au. The X-ray powder pattern is calculated, not measured: it uses a cell relaxed with PBE and Cu Kα.

Crystal structure
a = 17.401 Å, b = 9.743 Å, c = 10.155 Å
α = 90.00°, β = 91.10°, γ = 90.00°
Space group C2/m (No. 12)
Inequivalent atoms, fractional coordinates:
Cs 0.033 0.244 0.256 x8
Cs 0.197 0.000 0.881 x4
Cs 0.216 0.500 0.600 x4
Ag 0.081 0.000 0.538 x4
Au 0.000 0.000 0.000 x2

Principal peaks in the range 2θ from 5° to 70°, in order of falling intensity:
- (1 1 2), 2θ = 20.45°, rel. 100.0
- (1 1 0), 2θ = 10.41°, rel. 98.3
- (0 2 2), 2θ = 25.33°, rel. 73.7
- (5 1 -1), 2θ = 28.47°, rel. 50.5
- (6 2 1), 2θ = 37.30°, rel. 45.7
- (2 2 0), 2θ = 20.90°, rel. 39.8
- (2 2 -2), 2θ = 27.24°, rel. 33.4
- (8 2 -3), 2θ = 53.04°, rel. 33.4
- (2 0 0), 2θ = 10.17°, rel. 32.1
- (3 1 -2), 2θ = 24.83°, rel. 31.6

---

Entry 3:
Diffraction record for Cs12Ag6Au. The X-ray powder pattern is calculated, not measured: it uses a cell relaxed with PBE and Cu Kα.

Crystal structure
a = 16.0165 Å, b = 16.0165 Å, c = 13.9868 Å
α = 90.00°, β = 90.00°, γ = 120.00°
Space group R-3 (No. 148, hexagonal axes)
Inequivalent atoms, fractional coordinates:
Cs 0.0421 0.4233 0.1737 x18
Cs 0.0696 0.8876 0.7619 x18
Ag 0.0556 0.2053 0.0100 x18
Au 0.0000 0.0000 0.5000 x3

Principal peaks in the range 2θ from 5° to 70°, in order of falling intensity:
- (1 3 1), 2θ = 23.99°, rel. 100.0
- (4 -1 2), 2θ = 26.44°, rel. 50.4
- (1 0 4), 2θ = 26.28°, rel. 44.6
- (3 0 3), 2θ = 27.16°, rel. 43.6
- (7 -5 3), 2θ = 45.23°, rel. 25.0
- (0 4 2), 2θ = 28.74°, rel. 22.6
- (4 3 4), 2θ = 47.60°, rel. 17.1
- (0 2 1), 2θ = 14.22°, rel. 16.2
- (2 1 4), 2θ = 30.74°, rel. 14.2
- (5 -1 6), 2θ = 49.34°, rel. 14.2

---

Entry 4:
Diffraction record for Cs3AgAu2I6. The X-ray powder pattern is calculated, not measured: it uses a cell relaxed with PBE and Cu Kα.

Crystal structure
a = 8.7839 Å, b = 8.7839 Å, c = 10.0415 Å
α = 90.00°, β = 90.00°, γ = 120.00°
Space group P-3m1 (No. 164)
Inequivalent atoms, fractional coordinates:
Cs 0.0000 0.0000 0.0000 x1
Cs 0.3333 0.6667 0.6522 x2
Ag 0.0000 0.0000 0.5000 x1
Au 0.3333 0.6667 0.2953 x2
I 0.1548 0.3095 0.3020 x6

Principal peaks in the range 2θ from 5° to 70°, in order of falling intensity:
- (2 0 2), 2θ = 29.46°, rel. 100.0
- (0 0 1), 2θ = 8.81°, rel. 84.9
- (0 1 1), 2θ = 14.61°, rel. 75.0
- (1 1 0), 2θ = 20.22°, rel. 74.3
- (2 2 0), 2θ = 41.10°, rel. 71.0
- (0 2 1), 2θ = 25.04°, rel. 59.5
- (0 0 2), 2θ = 17.67°, rel. 47.4
- (2 2 3), 2θ = 49.65°, rel. 42.3
- (0 0 3), 2θ = 26.63°, rel. 42.0
- (1 2 1), 2θ = 32.39°, rel. 41.6

---

Entry 5:
Diffraction record for Cs2K4AgAu2. The X-ray powder pattern is calculated, not measured: it uses a cell relaxed with PBE and Cu Kα.

Crystal structure
a = 6.650 Å, b = 8.213 Å, c = 10.238 Å
α = 90.52°, β = 103.53°, γ = 112.29°
Space group P-1 (No. 2)
Inequivalent atoms, fractional coordinates:
Cs 0.228 0.299 0.187 x2
K 0.045 0.291 0.579 x2
K 0.478 0.871 0.189 x2
Ag 0.500 0.000 0.500 x1
Au 0.459 0.653 0.479 x2

Principal peaks in the range 2θ from 5° to 70°, in order of falling intensity:
- (0 0 1), 2θ = 8.94°, rel. 100.0
- (1 0 -1), 2θ = 15.29°, rel. 68.6
- (1 0 0), 2θ = 14.90°, rel. 42.3
- (0 0 3), 2θ = 27.02°, rel. 32.0
- (1 0 2), 2θ = 26.22°, rel. 17.1
- (-1 3 1), 2θ = 34.03°, rel. 16.3
- (2 0 -2), 2θ = 30.86°, rel. 16.1
- (-2 3 2), 2θ = 39.19°, rel. 13.1
- (1 0 -4), 2θ = 35.55°, rel. 12.6
- (0 3 0), 2θ = 35.66°, rel. 12.5

---

Entry 6:
Diffraction record for Cs8AgPtAu2. The X-ray powder pattern is calculated, not measured: it uses a cell relaxed with PBE and Cu Kα.

Crystal structure
a = 8.565 Å, b = 10.548 Å, c = 8.647 Å
α = 90.00°, β = 90.56°, γ = 90.00°
Space group P2/m (No. 10)
Inequivalent atoms, fractional coordinates:
Cs 0.222 0.000 0.340 x2
Cs 0.247 0.500 0.306 x2
Cs 0.278 0.273 0.830 x4
Ag 0.500 0.000 0.000 x1
Pt 0.500 0.500 0.000 x1
Au 0.000 0.261 0.500 x2

Principal peaks in the range 2θ from 5° to 70°, in order of falling intensity:
- (1 2 -1), 2θ = 22.26°, rel. 100.0
- (2 2 -1), 2θ = 28.71°, rel. 94.9
- (0 2 3), 2θ = 35.49°, rel. 86.1
- (1 0 1), 2θ = 14.63°, rel. 79.3
- (2 2 1), 2θ = 28.85°, rel. 77.4
- (1 0 -1), 2θ = 14.49°, rel. 75.9
- (1 2 1), 2θ = 22.36°, rel. 63.1
- (2 0 -2), 2θ = 29.22°, rel. 48.8
- (1 4 1), 2θ = 37.18°, rel. 47.3
- (0 4 0), 2θ = 34.00°, rel. 47.0

---

Entry 7:
Diffraction record for CsAg2Te2Au. The X-ray powder pattern is calculated, not measured: it uses a cell relaxed with PBE and Cu Kα.

Crystal structure
a = 7.487 Å, b = 11.845 Å, c = 4.955 Å
α = 90.00°, β = 90.00°, γ = 90.00°
Space group Pnnm (No. 58)
Inequivalent atoms, fractional coordinates:
Cs 0.000 0.000 0.000 x2
Ag 0.042 0.275 0.500 x4
Te 0.188 0.314 0.000 x4
Au 0.000 0.500 0.000 x2

Principal peaks in the range 2θ from 5° to 70°, in order of falling intensity:
- (1 2 1), 2θ = 26.30°, rel. 100.0
- (3 2 1), 2θ = 43.38°, rel. 48.1
- (0 0 2), 2θ = 36.26°, rel. 31.4
- (1 6 1), 2θ = 51.29°, rel. 22.8
- (0 4 0), 2θ = 30.18°, rel. 20.2
- (2 4 0), 2θ = 38.77°, rel. 19.5
- (2 1 0), 2θ = 24.95°, rel. 19.2
- (2 3 1), 2θ = 37.77°, rel. 18.3
- (1 1 0), 2θ = 13.99°, rel. 17.7
- (2 0 0), 2θ = 23.77°, rel. 17.4

---

Entry 8:
Diffraction record for Cu3AgAu3. The X-ray powder pattern is calculated, not measured: it uses a cell relaxed with PBE and Cu Kα.

Crystal structure
a = 7.534 Å, b = 8.262 Å, c = 7.493 Å
α = 90.00°, β = 90.00°, γ = 90.00°
Space group Cmmm (No. 65)
Inequivalent atoms, fractional coordinates:
Cu 0.000 0.219 0.000 x4
Cu 0.000 0.258 0.500 x4
Cu 0.212 0.500 0.500 x4
Ag 0.195 0.500 0.000 x4
Au 0.000 0.000 0.271 x4
Au 0.250 0.250 0.258 x8

Principal peaks in the range 2θ from 5° to 70°, in order of falling intensity:
- (2 2 2), 2θ = 40.37°, rel. 100.0
- (0 4 0), 2θ = 43.83°, rel. 21.0
- (1 1 2), 2θ = 28.72°, rel. 18.2
- (0 0 4), 2θ = 48.61°, rel. 15.0
- (1 1 0), 2θ = 15.92°, rel. 15.0
- (4 0 0), 2θ = 48.32°, rel. 12.5
- (2 2 0), 2θ = 32.16°, rel. 11.9
- (0 4 4), 2θ = 67.50°, rel. 10.5
- (3 1 0), 2θ = 37.43°, rel. 10.1
- (4 4 0), 2θ = 67.27°, rel. 8.8

---

Entry 9:
Diffraction record for Cu2AgAu6. The X-ray powder pattern is calculated, not measured: it uses a cell relaxed with PBE and Cu Kα.

Crystal structure
a = 8.594 Å, b = 8.594 Å, c = 4.116 Å
α = 90.00°, β = 90.00°, γ = 90.00°
Space group P4_2/mnm (No. 136)
Inequivalent atoms, fractional coordinates:
Cu 0.173 0.173 0.000 x4
Ag 0.000 0.000 0.500 x2
Au 0.002 0.328 0.500 x8
Au 0.163 0.837 0.000 x4

Principal peaks in the range 2θ from 5° to 70°, in order of falling intensity:
- (3 0 1), 2θ = 38.28°, rel. 100.0
- (3 3 0), 2θ = 44.74°, rel. 32.1
- (3 3 2), 2θ = 64.55°, rel. 21.5
- (0 0 2), 2θ = 44.00°, rel. 17.0
- (6 0 0), 2θ = 65.12°, rel. 10.3
- (2 1 0), 2θ = 23.14°, rel. 6.4
- (1 1 1), 2θ = 26.15°, rel. 4.6
- (2 1 1), 2θ = 31.86°, rel. 4.1
- (1 1 0), 2θ = 14.58°, rel. 3.5
- (2 2 1), 2θ = 36.76°, rel. 2.1

---

Entry 10:
Diffraction record for Cu2Ag3Au3. The X-ray powder pattern is calculated, not measured: it uses a cell relaxed with PBE and Cu Kα.

Crystal structure
a = 4.144 Å, b = 4.152 Å, c = 15.396 Å
α = 90.00°, β = 90.00°, γ = 90.00°
Space group Immm (No. 71)
Inequivalent atoms, fractional coordinates:
Cu 0.000 0.000 0.250 x4
Ag 0.000 0.000 0.000 x2
Ag 0.000 0.500 0.135 x4
Au 0.000 0.000 0.500 x2
Au 0.000 0.500 0.362 x4

Principal peaks in the range 2θ from 5° to 70°, in order of falling intensity:
- (1 1 4), 2θ = 38.59°, rel. 100.0
- (2 0 0), 2θ = 43.64°, rel. 37.2
- (2 0 8), 2θ = 66.25°, rel. 16.8
- (2 2 0), 2θ = 63.43°, rel. 12.0
- (0 0 8), 2θ = 47.23°, rel. 11.8
- (1 1 2), 2θ = 32.67°, rel. 10.2
- (0 1 3), 2θ = 27.64°, rel. 6.7
- (1 0 1), 2θ = 22.22°, rel. 6.5
- (1 1 10), 2θ = 68.88°, rel. 6.1
- (0 0 6), 2θ = 34.97°, rel. 5.9

---

Entry 11:
Diffraction record for CuAg7Au12. The X-ray powder pattern is calculated, not measured: it uses a cell relaxed with PBE and Cu Kα.

Crystal structure
a = 12.3104 Å, b = 12.3104 Å, c = 8.4975 Å
α = 90.00°, β = 90.00°, γ = 120.00°
Space group R-3 (No. 148, hexagonal axes)
Inequivalent atoms, fractional coordinates:
Cu 0.0000 0.0000 0.0000 x3
Ag 0.0000 0.0000 0.5000 x3
Ag 0.0603 0.2359 0.9173 x18
Au 0.0553 0.2181 0.2502 x18
Au 0.0571 0.2435 0.5814 x18

Principal peaks in the range 2θ from 5° to 70°, in order of falling intensity:
- (1 4 0), 2θ = 38.70°, rel. 100.0
- (0 3 3), 2θ = 40.74°, rel. 52.5
- (2 -1 3), 2θ = 34.87°, rel. 35.1
- (4 -2 3), 2θ = 43.42°, rel. 33.1
- (5 2 3), 2θ = 63.64°, rel. 21.0
- (3 0 0), 2θ = 25.06°, rel. 14.0
- (4 1 3), 2θ = 50.78°, rel. 11.7
- (8 -4 3), 2θ = 69.52°, rel. 11.5
- (3 -2 2), 2θ = 30.58°, rel. 8.7
- (4 -3 1), 2θ = 32.05°, rel. 6.7

---

Entry 12:
Diffraction record for Cu2AgAu. The X-ray powder pattern is calculated, not measured: it uses a cell relaxed with PBE and Cu Kα.

Crystal structure
a = 2.800 Å, b = 4.246 Å, c = 5.274 Å
α = 90.00°, β = 105.33°, γ = 90.00°
Space group Pm (No. 6)
Inequivalent atoms, fractional coordinates:
Cu 0.000 0.000 0.000 x1
Cu 0.136 0.500 0.265 x1
Ag 0.736 0.000 0.469 x1
Au 0.401 0.500 0.797 x1

Principal peaks in the range 2θ from 5° to 70°, in order of falling intensity:
- (1 1 0), 2θ = 39.56°, rel. 100.0
- (0 1 2), 2θ = 41.38°, rel. 69.4
- (1 0 -2), 2θ = 41.84°, rel. 49.4
- (0 2 0), 2θ = 42.59°, rel. 37.6
- (0 1 1), 2θ = 27.36°, rel. 34.6
- (1 2 -2), 2θ = 61.23°, rel. 31.3
- (0 0 1), 2θ = 17.43°, rel. 16.1
- (1 1 1), 2θ = 47.22°, rel. 12.7
- (1 0 2), 2θ = 55.85°, rel. 10.0
- (0 0 2), 2θ = 35.29°, rel. 9.8